[1]
Calculated powder diffraction line list of NaTbPd6O8 for λ = 1.5418 Å (Cu Kα), from a structure optimized by DFT (PBE).
No peak broadening, texture or thermal motion is included.

Most intense lines, 2θ from 5° to 70°, by angle:
15.3 deg, I = 17; 31.0 deg, I = 11; 34.7 deg, I = 100; 38.1 deg, I = 60; 55.1 deg, I = 14; 57.5 deg, I = 24; 59.9 deg, I = 32; 64.5 deg, I = 17

Crystal structure
abc: 5.7784 5.7784 5.7784
angles: 90.00 90.00 90.00
Positions (direct):
Na: 0.0000 0.0000 0.0000
Tb: 0.5000 0.5000 0.5000
Pd: 0.0000 0.5000 0.2483
Pd: 0.0000 0.5000 0.7517
Pd: 0.2483 0.0000 0.5000
Pd: 0.5000 0.2483 0.0000
Pd: 0.5000 0.7517 0.0000
Pd: 0.7517 0.0000 0.5000
O: 0.2580 0.2580 0.2580
O: 0.2580 0.2580 0.7420
O: 0.2580 0.7420 0.2580
O: 0.2580 0.7420 0.7420
O: 0.7420 0.2580 0.2580
O: 0.7420 0.2580 0.7420
O: 0.7420 0.7420 0.2580
O: 0.7420 0.7420 0.7420

***

[2]
Calculated powder diffraction line list of NaYPd6O8 for λ = 1.5418 Å (Cu Kα), from a structure optimized by DFT (PBE).
No peak broadening, texture or thermal motion is included.

Most intense lines, 2θ from 5° to 70°, by angle:
21.8 deg, I = 9; 31.0 deg, I = 7; 34.7 deg, I = 100; 38.2 deg, I = 44; 55.1 deg, I = 19; 57.5 deg, I = 23; 59.9 deg, I = 23; 64.5 deg, I = 16

Crystal structure
abc: 5.7775 5.7775 5.7775
angles: 90.00 90.00 90.00
Positions (direct):
Na: 0.0000 0.0000 0.0000
Y: 0.5000 0.5000 0.5000
Pd: 0.0000 0.5000 0.2484
Pd: 0.0000 0.5000 0.7516
Pd: 0.2484 0.0000 0.5000
Pd: 0.5000 0.2484 0.0000
Pd: 0.5000 0.7516 0.0000
Pd: 0.7516 0.0000 0.5000
O: 0.2586 0.2586 0.2586
O: 0.2586 0.2586 0.7414
O: 0.2586 0.7414 0.2586
O: 0.2586 0.7414 0.7414
O: 0.7414 0.2586 0.2586
O: 0.7414 0.2586 0.7414
O: 0.7414 0.7414 0.2586
O: 0.7414 0.7414 0.7414

***

[3]
Calculated powder diffraction line list of NaPmSeO for λ = 1.5418 Å (Cu Kα), from a structure optimized by DFT (PBE).
No peak broadening, texture or thermal motion is included.

Most intense lines, 2θ from 5° to 70°, by angle:
8.3 deg, I = 100; 25.0 deg, I = 44; 25.4 deg, I = 58; 30.1 deg, I = 38; 30.7 deg, I = 36; 32.2 deg, I = 32; 36.6 deg, I = 21; 44.4 deg, I = 40

Crystal structure
abc: 4.0791 4.0791 10.9285
angles: 99.64 99.64 89.98
Positions (direct):
Na: 0.2073 0.2073 0.4055
Na: 0.7927 0.7927 0.5945
Pm: 0.5228 0.0769 0.1066
Pm: 0.9231 0.4772 0.8934
Se: 0.3299 0.3252 0.6819
Se: 0.6748 0.6701 0.3181
O: 0.4703 0.5297 0.0000
O: 0.9714 0.0286 0.0000